The following is a theoretical PXRD pattern of BaPr2VN4. It was derived from the PBE geometry in Alexandria, using Cu Kα X-rays.
No peak broadening, texture or thermal motion is included.

Peak list (12 most intense, 2θ = 10–90°, most intense first)
Position (°2θ)	I/Imax	index
29.8	100	1 1 2
25.8	66	0 2 3
35.9	53	1 3 2
33.6	47	1 3 1
27.9	44	0 4 0
29.0	38	0 0 4
49.8	29	1 3 5
45.3	26	1 1 5
59.9	23	2 0 4
46.1	20	1 5 2
49.2	20	1 5 3
51.2	19	2 0 0

Structural model:
```
data_BaPr2VN4
_cell_length_a 3.570
_cell_length_b 12.772
_cell_length_c 12.303
_cell_angle_alpha 90.00
_cell_angle_beta 90.00
_cell_angle_gamma 90.00
_symmetry_space_group_name_H-M 'C m c m'
_symmetry_Int_Tables_number 63
_symmetry_space_group_name_Hall '-C 2c 2'
loop_
_atom_site_label
_atom_site_type_symbol
_atom_site_fract_x
_atom_site_fract_y
_atom_site_fract_z
_atom_site_occupancy
Ba1 Ba 0.000 0.088 0.250 1
Pr1 Pr 0.000 0.370 0.041 1
V1 V 0.000 0.180 0.750 1
N1 N 0.000 0.000 0.000 1
N2 N 0.000 0.259 0.630 1
N3 N 0.000 0.392 0.250 1
```

The following is a theoretical PXRD pattern of BaTh2PtN4. It was derived from the PBE geometry in Alexandria, using Cu Kα X-rays.
No peak broadening, texture or thermal motion is included.

Peak list (12 most intense, 2θ = 10–90°, most intense first)
Position (°2θ)	I/Imax	index
27.9	100	1 1 2
35.1	87	1 3 2
32.1	62	1 1 3
25.8	53	0 2 3
32.8	47	1 3 1
16.3	38	0 2 1
48.5	33	1 3 5
29.7	32	0 4 0
49.5	31	1 5 3
38.6	31	0 2 5
30.6	30	0 4 1
46.5	29	2 0 0

Structural model:
```
data_BaTh2PtN4
_cell_length_a 3.903
_cell_length_b 12.020
_cell_length_c 12.654
_cell_angle_alpha 90.00
_cell_angle_beta 90.00
_cell_angle_gamma 90.00
_symmetry_space_group_name_H-M 'C m c m'
_symmetry_Int_Tables_number 63
_symmetry_space_group_name_Hall '-C 2c 2'
loop_
_atom_site_label
_atom_site_type_symbol
_atom_site_fract_x
_atom_site_fract_y
_atom_site_fract_z
_atom_site_occupancy
Ba1 Ba 0.000 0.090 0.250 1
Th1 Th 0.000 0.364 0.055 1
Pt1 Pt 0.000 0.190 0.750 1
N1 N 0.000 0.000 0.000 1
N2 N 0.000 0.250 0.594 1
N3 N 0.000 0.376 0.250 1
```

Repeat the second record exactly.
The following is a theoretical PXRD pattern of BaTh2PtN4. It was derived from the PBE geometry in Alexandria, using Cu Kα X-rays.
No peak broadening, texture or thermal motion is included.

Peak list (12 most intense, 2θ = 10–90°, most intense first)
Position (°2θ)	I/Imax	index
27.9	100	1 1 2
35.1	87	1 3 2
32.1	62	1 1 3
25.8	53	0 2 3
32.8	47	1 3 1
16.3	38	0 2 1
48.5	33	1 3 5
29.7	32	0 4 0
49.5	31	1 5 3
38.6	31	0 2 5
30.6	30	0 4 1
46.5	29	2 0 0

Structural model:
```
data_BaTh2PtN4
_cell_length_a 3.903
_cell_length_b 12.020
_cell_length_c 12.654
_cell_angle_alpha 90.00
_cell_angle_beta 90.00
_cell_angle_gamma 90.00
_symmetry_space_group_name_H-M 'C m c m'
_symmetry_Int_Tables_number 63
_symmetry_space_group_name_Hall '-C 2c 2'
loop_
_atom_site_label
_atom_site_type_symbol
_atom_site_fract_x
_atom_site_fract_y
_atom_site_fract_z
_atom_site_occupancy
Ba1 Ba 0.000 0.090 0.250 1
Th1 Th 0.000 0.364 0.055 1
Pt1 Pt 0.000 0.190 0.750 1
N1 N 0.000 0.000 0.000 1
N2 N 0.000 0.250 0.594 1
N3 N 0.000 0.376 0.250 1
```